This entry pairs a crystal structure of CdTe2WCl with its calculated powder XRD pattern. Radiation: Cu Ka. Structure: DFT lattice parameters and positions (GGA-PBE).

Cell and atoms:
```
data_CdTe2WCl
_chemical_formula_sum 'Cd1 Te2 W1 Cl1'
_cell_length_a 5.154
_cell_length_b 5.154
_cell_length_c 5.587
_cell_angle_alpha 90.00
_cell_angle_beta 90.00
_cell_angle_gamma 90.00
_space_group_name_H-M_alt 'P 4/m m m'
_space_group_IT_number 123
_space_group_name_Hall '-P 4 2'
loop_
_atom_site_label
_atom_site_fract_x
_atom_site_fract_y
_atom_site_fract_z
Cd1 0.000 0.000 0.000
Te1 0.000 0.500 0.500
W1 0.000 0.000 0.500
Cl1 0.500 0.500 0.000
```

The 10 most intense peaks (5 to 70 degrees two-theta), low angle first:
d_spacing	Rel. int.
5.587	69
5.154	100
3.052	41
2.794	56
2.577	90
2.456	32
2.340	32
1.894	72
1.822	32
1.526	35